Computed PXRD pattern of YErTeO2 for λ = 1.5418 Å (Cu Kα), from DFT lattice parameters and positions (PBE).
Lines closer than 0.1° are merged.

Top 10 peaks for 2θ = 10–90°, by angle:
2θ/deg, I/Imax
31.55, 100
32.46, 39
43.85, 8
46.56, 20
55.61, 23
57.33, 36
65.87, 10
72.88, 9
76.85, 8
77.35, 7

Structural model:
Cell: 3.901 3.901 12.387 Å, 90.00 90.00 90.00°
Sites, in units of the cell vectors:
Y1 0.000 0.000 0.000
Y2 0.500 0.500 0.500
Er1 0.000 0.000 0.325
Er2 0.500 0.500 0.825
Te1 0.000 0.000 0.662
Te2 0.500 0.500 0.162
O1 0.000 0.500 0.410
O2 0.000 0.500 0.910
O3 0.500 0.000 0.410
O4 0.500 0.000 0.910